# 1
This entry pairs a crystal structure of MgFe3Co5O16 with its theoretical powder diffraction line list. Radiation: a wavelength of 1.5418 Å. Structure: a DFT-relaxed cell (PBE+U, the Materials Project).
Kinematic intensities with the Lorentz-polarization factor, no thermal factor.

Principal peaks in the range 5 to 70 degrees two-theta, by angle:
| Position (°2θ) | I (rel.) | hkl |
| --- | --- | --- |
| 19.9 | 100 | 0 0 2 |
| 20.3 | 40 | 1 1 1 |
| 20.7 | 47 | 1 1 -1 |
| 36.6 | 21 | 0 2 -1 |
| 37.0 | 22 | 0 2 1 |
| 37.3 | 22 | -1 1 2 |
| 41.2 | 16 | 0 2 2 |
| 42.1 | 15 | 2 2 -2 |
| 46.6 | 17 | 0 2 -3 |
| 63.4 | 25 | 2 -2 0 |
| 64.3 | 16 | 2 4 0 |
| 65.1 | 20 | 4 2 0 |

Structural model:
```
data_MgFe3Co5O16
_chemical_formula_sum 'Mg1 Fe3 Co5 O16'
_symmetry_space_group_name_H-M 'P 1'
_symmetry_Int_Tables_number 1
_cell_length_a 5.7333
_cell_length_b 5.7964
_cell_length_c 8.9310
_cell_angle_alpha 89.85
_cell_angle_beta 87.70
_cell_angle_gamma 61.20
loop_
_symmetry_equiv_pos_as_xyz
'x,y,z'
loop_
_atom_site_label
_atom_site_type_symbol
_atom_site_fract_x
_atom_site_fract_y
_atom_site_fract_z
Mg1 Mg 0.0000 0.0000 0.0000
Fe1 Fe 0.0010 0.0225 0.7042
Fe2 Fe 0.0273 0.5068 0.7393
Fe3 Fe 0.8254 0.3498 0.2568
Co1 Co 0.3346 0.3316 0.2456
Co2 Co 0.3404 0.8291 0.2465
Co3 Co 0.5147 0.5078 0.9654
Co4 Co 0.5164 0.0054 0.7415
Co5 Co 0.8350 0.8336 0.4621
O1 O 0.0110 0.5085 0.3528
O2 O 0.1294 0.7150 0.5864
O3 O 0.1814 0.1534 0.1416
O4 O 0.2074 0.1654 0.6278
O5 O 0.2165 0.6663 0.1054
O6 O 0.3493 0.8355 0.8495
O7 O 0.3651 0.3384 0.8454
O8 O 0.4692 0.5130 0.3522
O9 O 0.5177 0.9793 0.3427
O10 O 0.6394 0.2251 0.1036
O11 O 0.6403 0.6555 0.1082
O12 O 0.6731 0.1316 0.5946
O13 O 0.6923 0.7064 0.6096
O14 O 0.8463 0.8593 0.8421
O15 O 0.8551 0.3224 0.8513
O16 O 0.9993 0.9902 0.3447
```

***

# 2
This entry pairs a crystal structure of MgFe3Co5O16 with its theoretical powder diffraction line list. Radiation: a wavelength of 1.5418 Å. Structure: a DFT-relaxed cell (PBE+U, the Materials Project).
Kinematic intensities with the Lorentz-polarization factor, no thermal factor.

Principal peaks in the range 5 to 70 degrees two-theta, by angle:
| Position (°2θ) | I (rel.) | hkl |
| --- | --- | --- |
| 9.5 | 100 | 0 0 1 |
| 19.0 | 68 | 0 0 2 |
| 24.9 | 22 | 2 0 -2 |
| 27.5 | 37 | 2 0 2 |
| 32.5 | 18 | 2 0 -3 |
| 35.6 | 20 | 2 2 0 |
| 36.2 | 18 | 0 2 2 |
| 37.4 | 25 | 2 2 1 |
| 39.8 | 32 | 2 2 -2 |
| 43.0 | 19 | 4 0 2 |
| 45.2 | 33 | 2 2 -3 |
| 64.8 | 25 | 6 2 0 |

Structural model:
```
data_MgFe3Co5O16
_chemical_formula_sum 'Mg2 Fe6 Co10 O32'
_symmetry_space_group_name_H-M 'C 1 m 1'
_symmetry_Int_Tables_number 8
_cell_length_a 9.9471
_cell_length_b 5.8672
_cell_length_c 9.3657
_cell_angle_alpha 90.00
_cell_angle_beta 95.51
_cell_angle_gamma 90.00
loop_
_symmetry_equiv_pos_as_xyz
'x,y,z'
'x,-y,z'
'x+1/2,y+1/2,z'
'x+1/2,-y+1/2,z'
loop_
_atom_site_label
_atom_site_type_symbol
_atom_site_fract_x
_atom_site_fract_y
_atom_site_fract_z
Mg1 Mg 0.0000 0.0000 0.0000
Fe1 Fe 0.3773 0.2506 0.3046
Fe2 Fe 0.4545 0.5000 0.6046
Co1 Co 0.1273 0.5000 0.3359
Co2 Co 0.1348 0.0000 0.3422
Co3 Co 0.2224 0.2434 0.8060
Co4 Co 0.4683 0.0000 0.5912
O1 O 0.0461 0.2650 0.4536
O2 O 0.1014 0.2583 0.9177
O3 O 0.1423 0.0000 0.6988
O4 O 0.1434 0.5000 0.6882
O5 O 0.1896 0.2582 0.2303
O6 O 0.3085 0.0000 0.8982
O7 O 0.3093 0.5000 0.4299
O8 O 0.3154 0.0000 0.4391
O9 O 0.3212 0.5000 0.8837
O10 O 0.3898 0.2309 0.6855
O11 O 0.4664 0.5000 0.2072
O12 O 0.4689 0.0000 0.2161
```

***

# 3
This entry pairs a crystal structure of MgFe4CoO8 with its theoretical powder diffraction line list. Radiation: a wavelength of 1.5418 Å. Structure: a DFT-relaxed cell (PBE+U, the Materials Project).
Kinematic intensities with the Lorentz-polarization factor, no thermal factor.

Principal peaks in the range 5 to 70 degrees two-theta, by angle:
| Position (°2θ) | I (rel.) | hkl |
| --- | --- | --- |
| 17.9 | 16 | 0 0 3 |
| 29.6 | 61 | 1 0 4 |
| 34.8 | 100 | 0 1 5 |
| 34.9 | 65 | 0 2 1 |
| 36.5 | 6 | 2 0 2 |
| 42.3 | 28 | 0 2 4 |
| 52.5 | 18 | 2 1 4 |
| 55.9 | 39 | 0 2 7 |
| 56.0 | 16 | 0 3 3 |
| 61.3 | 38 | 2 0 8 |
| 61.5 | 38 | 2 2 0 |
| 69.7 | 6 | 1 3 4 |

Structural model:
```
data_MgFe4CoO8
_chemical_formula_sum 'Mg3 Fe12 Co3 O24'
_symmetry_space_group_name_H-M 'R 3 m'
_symmetry_Int_Tables_number 160
_symmetry_space_group_name_Hall 'R 3 -2"'
_cell_length_a 6.0296
_cell_length_b 6.0296
_cell_length_c 14.8351
_cell_angle_alpha 90.00
_cell_angle_beta 90.00
_cell_angle_gamma 120.00
loop_
_atom_site_label
_atom_site_type_symbol
_atom_site_fract_x
_atom_site_fract_y
_atom_site_fract_z
Mg1 Mg 0.0000 0.0000 0.0000
Fe1 Fe 0.0000 0.0000 0.3775
Fe2 Fe 0.0053 0.5027 0.5018
Co1 Co 0.0000 0.0000 0.6236
O1 O 0.0000 0.0000 0.2436
O2 O 0.0000 0.0000 0.7600
O3 O 0.0158 0.5079 0.7546
O4 O 0.1792 0.3584 0.5786
```

***

# 4
This entry pairs a crystal structure of MgFeCo3O8 with its theoretical powder diffraction line list. Radiation: a wavelength of 1.5418 Å. Structure: a DFT-relaxed cell (PBE+U, the Materials Project).
Kinematic intensities with the Lorentz-polarization factor, no thermal factor.

Principal peaks in the range 5 to 70 degrees two-theta, by angle:
| Position (°2θ) | I (rel.) | hkl |
| --- | --- | --- |
| 17.9 | 100 | 0 0 1 |
| 36.1 | 12 | 4 0 -1 |
| 36.2 | 6 | 0 0 2 |
| 36.4 | 20 | 2 2 -1 |
| 38.1 | 9 | 2 2 0 |
| 43.4 | 42 | 2 2 -2 |
| 43.7 | 21 | 4 0 0 |
| 47.8 | 6 | 2 2 1 |
| 56.5 | 10 | 2 2 -3 |
| 61.0 | 6 | 4 0 -4 |
| 62.6 | 11 | 2 2 2 |
| 63.9 | 11 | 6 2 -2 |

Structural model:
```
data_MgFeCo3O8
_chemical_formula_sum 'Mg2 Fe2 Co6 O16'
_symmetry_space_group_name_H-M 'C 1 2/m 1'
_symmetry_Int_Tables_number 12
_cell_length_a 10.1517
_cell_length_b 5.7409
_cell_length_c 6.0805
_cell_angle_alpha 90.00
_cell_angle_beta 125.27
_cell_angle_gamma 90.00
loop_
_symmetry_equiv_pos_as_xyz
'x,y,z'
'-x,-y,-z'
'-x,y,-z'
'x,-y,z'
'x+1/2,y+1/2,z'
'-x+1/2,-y+1/2,-z'
'-x+1/2,y+1/2,-z'
'x+1/2,-y+1/2,z'
loop_
_atom_site_label
_atom_site_type_symbol
_atom_site_fract_x
_atom_site_fract_y
_atom_site_fract_z
Mg1 Mg 0.0000 0.0000 0.0000
Fe1 Fe 0.0000 0.0000 0.5000
Co1 Co 0.0000 0.5000 0.5000
Co2 Co 0.2500 0.2500 0.5000
O1 O 0.0224 0.2485 0.2897
O2 O 0.2439 0.0000 0.6931
O3 O 0.2479 0.5000 0.7088
```

***

# 5
This entry pairs a crystal structure of Mg14FeCoO16 with its theoretical powder diffraction line list. Radiation: a wavelength of 1.5418 Å. Structure: a DFT-relaxed cell (PBE+U, the Materials Project).
Kinematic intensities with the Lorentz-polarization factor, no thermal factor.

Principal peaks in the range 5 to 70 degrees two-theta, by angle:
| Position (°2θ) | I (rel.) | hkl |
| --- | --- | --- |
| 10.3 | 14 | 0 0 1 |
| 20.8 | 9 | 0 2 0 |
| 23.3 | 9 | 0 2 1 |
| 29.6 | 8 | 0 2 2 |
| 31.4 | 5 | 0 0 3 |
| 36.4 | 27 | 1 2 2 |
| 38.0 | 3 | 0 2 3 |
| 42.3 | 100 | 2 0 0 |
| 42.4 | 49 | 0 4 0 |
| 43.7 | 3 | 1 2 3 |
| 61.3 | 28 | 2 0 4 |
| 61.5 | 56 | 2 4 0 |

Structural model:
```
data_Mg14FeCoO16
_chemical_formula_sum 'Mg14 Fe1 Co1 O16'
_symmetry_space_group_name_H-M 'P m m m'
_symmetry_Int_Tables_number 47
_cell_length_a 4.2733
_cell_length_b 8.5206
_cell_length_c 8.5526
_cell_angle_alpha 90.00
_cell_angle_beta 90.00
_cell_angle_gamma 90.00
loop_
_symmetry_equiv_pos_as_xyz
'x,y,z'
'-x,-y,-z'
'-x,-y,z'
'x,y,-z'
'x,-y,-z'
'-x,y,z'
'-x,y,-z'
'x,-y,z'
loop_
_atom_site_label
_atom_site_type_symbol
_atom_site_fract_x
_atom_site_fract_y
_atom_site_fract_z
Mg1 Mg 0.0000 0.0000 0.0000
Mg2 Mg 0.0000 0.2465 0.2502
Mg3 Mg 0.0000 0.5000 0.0000
Mg4 Mg 0.5000 0.0000 0.2522
Mg5 Mg 0.5000 0.2442 0.5000
Mg6 Mg 0.5000 0.2485 0.0000
Mg7 Mg 0.5000 0.5000 0.2481
Fe1 Fe 0.0000 0.5000 0.5000
Co1 Co 0.0000 0.0000 0.5000
O1 O 0.0000 0.0000 0.2417
O2 O 0.0000 0.2523 0.0000
O3 O 0.0000 0.2599 0.5000
O4 O 0.0000 0.5000 0.2502
O5 O 0.5000 0.0000 0.0000
O6 O 0.5000 0.0000 0.5000
O7 O 0.5000 0.2510 0.2511
O8 O 0.5000 0.5000 0.0000
O9 O 0.5000 0.5000 0.5000
```

***

# 6
This entry pairs a crystal structure of MgFe4Co2O8 with its theoretical powder diffraction line list. Radiation: a wavelength of 1.5418 Å. Structure: a DFT-relaxed cell (PBE+U, the Materials Project).
Kinematic intensities with the Lorentz-polarization factor, no thermal factor.

Principal peaks in the range 5 to 70 degrees two-theta, by angle:
| Position (°2θ) | I (rel.) | hkl |
| --- | --- | --- |
| 29.1 | 21 | 0 2 0 |
| 29.5 | 22 | 2 0 0 |
| 32.6 | 99 | 1 0 3 |
| 34.1 | 100 | 1 2 1 |
| 34.4 | 73 | 2 1 1 |
| 35.1 | 23 | 0 2 2 |
| 41.9 | 24 | 2 2 0 |
| 44.5 | 30 | 2 1 3 |
| 55.0 | 25 | 2 3 1 |
| 55.3 | 24 | 3 2 1 |
| 58.6 | 46 | 2 2 4 |
| 60.3 | 23 | 0 4 0 |

Structural model:
```
data_MgFe4Co2O8
_chemical_formula_sum 'Mg2 Fe8 Co4 O16'
_symmetry_space_group_name_H-M 'I m m 2'
_symmetry_Int_Tables_number 44
_cell_length_a 6.0647
_cell_length_b 6.1402
_cell_length_c 9.2327
_cell_angle_alpha 90.00
_cell_angle_beta 90.00
_cell_angle_gamma 90.00
loop_
_symmetry_equiv_pos_as_xyz
'x,y,z'
'-x,-y,z'
'-x,y,z'
'x,-y,z'
'x+1/2,y+1/2,z+1/2'
'-x+1/2,-y+1/2,z+1/2'
'-x+1/2,y+1/2,z+1/2'
'x+1/2,-y+1/2,z+1/2'
loop_
_atom_site_label
_atom_site_type_symbol
_atom_site_fract_x
_atom_site_fract_y
_atom_site_fract_z
Mg1 Mg 0.0000 0.0000 0.0000
Fe1 Fe 0.0000 0.2551 0.3966
Fe2 Fe 0.2176 0.5000 0.6959
Co1 Co 0.0000 0.0000 0.7158
Co2 Co 0.0000 0.5000 0.0496
O1 O 0.0000 0.2214 0.1663
O2 O 0.0000 0.2776 0.6161
O3 O 0.2282 0.0000 0.4131
O4 O 0.2398 0.5000 0.3747
```

***

# 7
This entry pairs a crystal structure of MgFe4Co2O8 with its theoretical powder diffraction line list. Radiation: a wavelength of 1.5418 Å. Structure: a DFT-relaxed cell (PBE+U, the Materials Project).
Kinematic intensities with the Lorentz-polarization factor, no thermal factor.

Principal peaks in the range 5 to 70 degrees two-theta, by angle:
| Position (°2θ) | I (rel.) | hkl |
| --- | --- | --- |
| 17.9 | 41 | 1 0 1 |
| 27.3 | 44 | 0 2 0 |
| 32.8 | 87 | 1 2 1 |
| 34.1 | 100 | 2 1 1 |
| 34.7 | 97 | 0 1 3 |
| 35.1 | 55 | 1 0 3 |
| 40.4 | 34 | 2 2 0 |
| 42.9 | 39 | 0 0 4 |
| 46.0 | 78 | 2 2 2 |
| 52.7 | 72 | 2 0 4 |
| 56.3 | 37 | 0 4 0 |
| 61.8 | 33 | 2 3 3 |

Structural model:
```
data_MgFe4Co2O8
_chemical_formula_sum 'Mg2 Fe8 Co4 O16'
_symmetry_space_group_name_H-M 'I m m 2'
_symmetry_Int_Tables_number 44
_cell_length_a 6.1050
_cell_length_b 6.5390
_cell_length_c 8.4344
_cell_angle_alpha 90.00
_cell_angle_beta 90.00
_cell_angle_gamma 90.00
loop_
_symmetry_equiv_pos_as_xyz
'x,y,z'
'-x,-y,z'
'-x,y,z'
'x,-y,z'
'x+1/2,y+1/2,z+1/2'
'-x+1/2,-y+1/2,z+1/2'
'-x+1/2,y+1/2,z+1/2'
'x+1/2,-y+1/2,z+1/2'
loop_
_atom_site_label
_atom_site_type_symbol
_atom_site_fract_x
_atom_site_fract_y
_atom_site_fract_z
Mg1 Mg 0.0000 0.0000 0.0000
Fe1 Fe 0.0000 0.0000 0.3193
Fe2 Fe 0.0000 0.2903 0.5732
Fe3 Fe 0.0000 0.5000 0.8943
Co1 Co 0.2232 0.5000 0.2602
O1 O 0.0000 0.2050 0.8163
O2 O 0.0000 0.3054 0.3395
O3 O 0.2356 0.0000 0.5232
O4 O 0.2382 0.5000 0.6353
```

***

# 8
This entry pairs a crystal structure of MgFe4Co2O8 with its theoretical powder diffraction line list. Radiation: a wavelength of 1.5418 Å. Structure: a DFT-relaxed cell (PBE+U, the Materials Project).
Kinematic intensities with the Lorentz-polarization factor, no thermal factor.

Principal peaks in the range 5 to 70 degrees two-theta, by angle:
| Position (°2θ) | I (rel.) | hkl |
| --- | --- | --- |
| 30.0 | 35 | 3 1 -1 |
| 33.8 | 100 | 0 0 2 |
| 34.3 | 61 | 0 2 1 |
| 34.9 | 71 | 2 2 -1 |
| 35.2 | 50 | 3 1 0 |
| 41.0 | 73 | 2 2 -2 |
| 42.8 | 61 | 4 0 0 |
| 45.7 | 45 | 2 2 1 |
| 52.8 | 38 | 2 2 -3 |
| 56.9 | 27 | 4 0 -4 |
| 61.8 | 30 | 0 4 0 |
| 62.3 | 56 | 6 2 -2 |

Structural model:
```
data_MgFe4Co2O8
_chemical_formula_sum 'Mg2 Fe8 Co4 O16'
_symmetry_space_group_name_H-M 'C 1 2/m 1'
_symmetry_Int_Tables_number 12
_cell_length_a 10.3216
_cell_length_b 6.0045
_cell_length_c 6.4918
_cell_angle_alpha 90.00
_cell_angle_beta 125.10
_cell_angle_gamma 90.00
loop_
_symmetry_equiv_pos_as_xyz
'x,y,z'
'-x,-y,-z'
'-x,y,-z'
'x,-y,z'
'x+1/2,y+1/2,z'
'-x+1/2,-y+1/2,-z'
'-x+1/2,y+1/2,-z'
'x+1/2,-y+1/2,z'
loop_
_atom_site_label
_atom_site_type_symbol
_atom_site_fract_x
_atom_site_fract_y
_atom_site_fract_z
Mg1 Mg 0.0000 0.0000 0.0000
Fe1 Fe 0.0000 0.5000 0.0000
Fe2 Fe 0.0000 0.5000 0.5000
Fe3 Fe 0.1887 0.0000 0.4800
Co1 Co 0.2500 0.2500 0.0000
O1 O 0.0136 0.2610 0.2493
O2 O 0.2317 0.5000 0.1742
O3 O 0.2405 0.5000 0.7520
```

***

Q: Number 1 is which compound?
A: MgFe3Co5O16